This entry pairs a crystal structure of K2U2O7 with its computed XRD peak list. Radiation: Cu Kα. Structure: DFT lattice parameters and positions (GGA-PBE).
Neutral-atom scattering factors, no anomalous dispersion.

Peak list (6 most intense, 2θ from 15° to 90°, by angle)
d [Å]	2θ/deg	I (rel.)	index
3.444	25.9	60	1 1 0
3.398	26.2	33	0 0 2
3.305	27.0	100	2 0 0
2.882	31.0	50	1 1 1
2.017	44.9	34	0 2 0
1.735	52.8	28	0 2 2

Structure:
Cell: 6.9876 4.0351 7.1825 Å, 90.00 108.88 90.00°
Fractional coordinates of all 11 atoms:
K  0.0000  0.0000  0.0000
K  0.5003  0.5000  0.0059
U  0.0107  0.5000  0.4935
U  0.4805  0.0000  0.5017
O  0.0890  0.5000  0.7738
O  0.1113  0.0000  0.4824
O  0.3468  0.5000  0.5240
O  0.3938  0.0000  0.2268
O  0.5918  0.0000  0.7761
O  0.6929  0.5000  0.4819
O  0.9159  0.5000  0.2126